# 1
Theoretical X-ray powder pattern
Compound: Li3Er
Radiation: copper Kα
Structure: a cell relaxed with GGA-PBE

Structure:
a b c (Å): 6.4776 6.4776 5.0475
angles (deg): 90.00 90.00 120.00
Space group P6_3/mmc (No. 194)
Unique sites:
1 Li 0.1523 0.3047 0.2500
2 Er 0.3333 0.6667 0.7500

The 6 most intense peaks (2θ from 10° to 80°), sorted by position:
- 2θ 15.8, intensity 40.1, (1 0 0)
- 2θ 23.7, intensity 100.0, (1 0 1)
- 2θ 27.5, intensity 45.7, (1 1 0)
- 2θ 36.7, intensity 40.8, (2 0 1)
- 2θ 45.6, intensity 23.5, (1 1 2)
- 2θ 46.5, intensity 32.5, (2 1 1)

---

# 2
Theoretical X-ray powder pattern
Compound: LiErO2
Radiation: copper Kα
Structure: a cell relaxed with GGA-PBE

Structure:
a b c (Å): 6.1392 6.1656 6.2026
angles (deg): 90.00 119.11 90.00
Space group P2_1/c (No. 14)
Unique sites:
1 Li 0.2159 0.1508 0.4471
2 Er 0.2636 0.6293 0.5175
3 O 0.0446 0.6106 0.7348
4 O 0.4957 0.1644 0.1664

The 6 most intense peaks (2θ from 10° to 80°), sorted by position:
- 2θ 21.8, intensity 98.1, (0 1 1)
- 2θ 22.0, intensity 100.0, (1 1 0)
- 2θ 33.6, intensity 49.3, (1 2 -1)
- 2θ 33.7, intensity 44.8, (2 0 -2)
- 2θ 41.1, intensity 52.9, (1 2 1)
- 2θ 47.3, intensity 42.0, (0 3 1)

---

# 3
Theoretical X-ray powder pattern
Compound: LiErO2
Radiation: copper Kα
Structure: a cell relaxed with GGA-PBE

Structure:
a b c (Å): 4.4117 4.4117 10.3915
angles (deg): 90.00 90.00 90.00
Space group I4_1/amd (No. 141, origin choice 2)
Unique sites:
1 Li 0.0000 0.2500 0.3750
2 Er 0.0000 0.2500 0.8750
3 O 0.0000 0.2500 0.0959

The 6 most intense peaks (2θ from 10° to 80°), sorted by position:
- 2θ 21.9, intensity 100.0, (1 0 1)
- 2θ 32.9, intensity 26.3, (1 0 3)
- 2θ 33.5, intensity 47.5, (1 1 2)
- 2θ 40.9, intensity 29.2, (2 0 0)
- 2θ 46.9, intensity 26.7, (2 1 1)
- 2θ 54.6, intensity 22.7, (2 0 4)

---

# 4
Theoretical X-ray powder pattern
Compound: LiErO3
Radiation: copper Kα
Structure: a cell relaxed with GGA-PBE

Structure:
a b c (Å): 3.6554 3.6554 3.6554
angles (deg): 90.00 90.00 90.00
Space group Pm-3m (No. 221)
Unique sites:
1 Li 0.0000 0.0000 0.0000
2 Er 0.5000 0.5000 0.5000
3 O 0.0000 0.0000 0.5000

The 6 most intense peaks (2θ from 10° to 80°), sorted by position:
- 2θ 24.3, intensity 100.0, (1 0 0)
- 2θ 34.7, intensity 94.7, (1 1 0)
- 2θ 42.9, intensity 64.0, (1 1 1)
- 2θ 49.9, intensity 33.1, (2 0 0)
- 2θ 56.3, intensity 43.5, (2 1 0)
- 2θ 62.2, intensity 37.1, (2 1 1)

---

# 5
Theoretical X-ray powder pattern
Compound: LiErP4O12
Radiation: copper Kα
Structure: a cell relaxed with GGA-PBE

Structure:
a b c (Å): 16.5315 7.1942 9.7255
angles (deg): 90.00 125.55 90.00
Space group C2/c (No. 15)
Unique sites:
1 Li 0.0000 0.0000 0.0000
2 Er 0.0000 0.2353 0.2500
3 P 0.1346 0.4520 0.6563
4 P 0.1493 0.1587 0.0914
5 O 0.0686 0.4869 0.2060
6 O 0.0802 0.0720 0.9203
7 O 0.1042 0.2901 0.5373
8 O 0.1157 0.1230 0.2053
9 O 0.1605 0.3786 0.0782
10 O 0.2409 0.4116 0.8311

The 6 most intense peaks (2θ from 10° to 80°), sorted by position:
- 2θ 13.2, intensity 51.7, (2 0 0)
- 2θ 15.3, intensity 62.3, (1 1 -1)
- 2θ 20.2, intensity 100.0, (1 1 1)
- 2θ 20.3, intensity 34.7, (3 1 -1)
- 2θ 22.7, intensity 44.3, (4 0 -2)
- 2θ 30.9, intensity 44.1, (5 1 -1)

---

# 6
Theoretical X-ray powder pattern
Compound: LiErP4O12
Radiation: copper Kα
Structure: a cell relaxed with GGA-PBE

Structure:
a b c (Å): 16.3630 7.1126 9.6258
angles (deg): 90.00 125.92 90.00
Space group C2/c (No. 15)
Unique sites:
1 Li 0.0000 0.2066 0.2500
2 Er 0.0000 0.2968 0.7500
3 P 0.1367 0.0503 0.6163
4 P 0.1453 0.3511 0.1931
5 O 0.0659 0.0024 0.4280
6 O 0.0707 0.4195 0.2248
7 O 0.1113 0.2121 0.6844
8 O 0.1256 0.3825 0.0220
9 O 0.1556 0.1280 0.2341
10 O 0.2453 0.0776 0.6518

The 6 most intense peaks (2θ from 10° to 80°), sorted by position:
- 2θ 13.4, intensity 48.8, (2 0 0)
- 2θ 15.5, intensity 52.2, (1 1 -1)
- 2θ 20.5, intensity 100.0, (3 1 -1)
- 2θ 22.8, intensity 68.6, (0 0 2)
- 2θ 31.2, intensity 40.1, (3 1 1)
- 2θ 32.8, intensity 47.5, (6 0 -2)

---

# 7
Theoretical X-ray powder pattern
Compound: LiEr6Ta2O14
Radiation: copper Kα
Structure: a cell relaxed with GGA-PBE

Structure:
a b c (Å): 7.3779 10.4759 7.5634
angles (deg): 90.00 90.80 90.00
Space group C2 (No. 5)
Unique sites:
1 Li 0.0000 0.0000 0.0000
2 Er 0.0000 0.7430 0.0000
3 Er 0.0000 0.7663 0.5000
4 Er 0.2113 0.4876 0.7479
5 Er 0.2214 0.0332 0.7308
6 Ta 0.0000 0.2602 0.5000
7 Ta 0.0000 0.2693 0.0000
8 O 0.0173 0.6326 0.2573
9 O 0.0191 0.9042 0.2252
10 O 0.0783 0.2678 0.7511
11 O 0.1956 0.1253 0.0250
12 O 0.1963 0.1299 0.4606
13 O 0.1961 0.3918 0.0431
14 O 0.2144 0.3862 0.4717

The 6 most intense peaks (2θ from 10° to 80°), sorted by position:
- 2θ 29.1, intensity 100.0, (0 2 2)
- 2θ 29.6, intensity 96.6, (2 2 0)
- 2θ 33.7, intensity 27.6, (2 0 -2)
- 2θ 34.2, intensity 46.4, (2 0 2)
- 2θ 48.8, intensity 26.2, (2 4 -2)
- 2θ 49.2, intensity 23.8, (2 4 2)

---

# 8
Theoretical X-ray powder pattern
Compound: LiEr6Ta2O14
Radiation: copper Kα
Structure: a cell relaxed with GGA-PBE

Structure:
a b c (Å): 6.4814 7.3708 6.5341
angles (deg): 90.00 109.03 90.00
Space group Pm (No. 6)
Unique sites:
1 Li 0.0000 0.0000 0.0000
2 Er 0.2612 0.0000 0.7034
3 Er 0.2647 0.5000 0.7452
4 Er 0.7105 0.0000 0.2384
5 Er 0.7254 0.2586 0.7000
6 Er 0.7994 0.5000 0.2430
7 Ta 0.2676 0.2673 0.2366
8 O 0.1605 0.5000 0.3178
9 O 0.1993 0.2338 0.9214
10 O 0.3394 0.0000 0.2614
11 O 0.3590 0.2531 0.5773
12 O 0.5980 0.2819 0.3221
13 O 0.6260 0.0000 0.8738
14 O 0.6408 0.5000 0.8839
15 O 0.8848 0.0000 0.6056
16 O 0.9054 0.5000 0.6165
17 O 0.9563 0.2012 0.1883

The 6 most intense peaks (2θ from 10° to 80°), sorted by position:
- 2θ 28.9, intensity 55.1, (0 0 2)
- 2θ 29.1, intensity 49.2, (2 0 0)
- 2θ 29.5, intensity 100.0, (1 2 -1)
- 2θ 34.0, intensity 50.6, (1 2 1)
- 2θ 48.6, intensity 30.2, (1 2 -3)
- 2θ 48.9, intensity 27.2, (3 2 -1)

---

# 9
Theoretical X-ray powder pattern
Compound: LiEr6Ta2O14
Radiation: copper Kα
Structure: a cell relaxed with GGA-PBE

Structure:
a b c (Å): 7.6307 10.8209 7.2282
angles (deg): 90.00 90.28 90.00
Space group Cm (No. 8)
Unique sites:
1 Li 0.0000 0.0000 0.0000
2 Er 0.2588 0.0000 0.2856
3 Er 0.2671 0.0000 0.7602
4 Er 0.3918 0.2589 0.0290
5 Er 0.4734 0.2393 0.5275
6 Ta 0.1927 0.5000 0.2967
7 Ta 0.1940 0.5000 0.7585
8 O 0.0444 0.5000 0.5284
9 O 0.1587 0.1291 0.0261
10 O 0.2106 0.1337 0.5262
11 O 0.2627 0.5000 0.0289
12 O 0.3486 0.3582 0.3159
13 O 0.3556 0.3608 0.7432
14 O 0.4881 0.1277 0.2399
15 O 0.4917 0.1289 0.8152

The 6 most intense peaks (2θ from 10° to 80°), sorted by position:
- 2θ 28.6, intensity 90.7, (2 2 0)
- 2θ 29.7, intensity 100.0, (0 2 2)
- 2θ 33.1, intensity 31.5, (0 4 0)
- 2θ 34.3, intensity 22.2, (2 0 2)
- 2θ 48.3, intensity 23.9, (2 4 -2)
- 2θ 48.4, intensity 25.4, (2 4 2)

---

# 10
Theoretical X-ray powder pattern
Compound: LiErTlO2
Radiation: copper Kα
Structure: a cell relaxed with GGA-PBE

Structure:
a b c (Å): 5.8419 3.3710 9.6360
angles (deg): 90.00 102.18 90.00
Space group Cm (No. 8)
Unique sites:
1 Li 0.0000 0.0000 0.0000
2 Er 0.4167 0.0000 0.2429
3 Tl 0.3878 0.5000 0.6460
4 O 0.1174 0.0000 0.3405
5 O 0.1979 0.5000 0.0912

The 6 most intense peaks (2θ from 10° to 80°), sorted by position:
- 2θ 18.8, intensity 92.8, (0 0 2)
- 2θ 28.4, intensity 32.1, (0 0 3)
- 2θ 31.3, intensity 100.0, (2 0 0)
- 2θ 33.1, intensity 31.4, (2 0 -2)
- 2θ 33.3, intensity 64.1, (1 1 1)
- 2θ 54.4, intensity 31.2, (0 2 0)

---

# 11
Theoretical X-ray powder pattern
Compound: LiErTlO2
Radiation: copper Kα
Structure: a cell relaxed with GGA-PBE

Structure:
a b c (Å): 5.9074 3.4190 8.6757
angles (deg): 90.00 102.93 90.00
Space group Cm (No. 8)
Unique sites:
1 Li 0.0000 0.0000 0.0000
2 Er 0.2488 0.0000 0.7251
3 Tl 0.2648 0.5000 0.3018
4 O 0.1338 0.5000 0.8860
5 O 0.3786 0.5000 0.6151

The 6 most intense peaks (2θ from 10° to 80°), sorted by position:
- 2θ 10.5, intensity 22.1, (0 0 1)
- 2θ 21.0, intensity 67.7, (0 0 2)
- 2θ 31.1, intensity 100.0, (2 0 0)
- 2θ 33.4, intensity 44.8, (1 1 1)
- 2θ 33.5, intensity 20.8, (2 0 -2)
- 2θ 41.8, intensity 38.1, (2 0 2)

---

# 12
Theoretical X-ray powder pattern
Compound: LiErSe2
Radiation: copper Kα
Structure: a cell relaxed with GGA-PBE

Structure:
a b c (Å): 5.6495 5.6495 11.5323
angles (deg): 90.00 90.00 90.00
Space group I4_1/amd (No. 141, origin choice 2)
Unique sites:
1 Li 0.0000 0.2500 0.3750
2 Er 0.0000 0.2500 0.8750
3 Se 0.0000 0.2500 0.1207

The 6 most intense peaks (2θ from 10° to 80°), sorted by position:
- 2θ 17.5, intensity 100.0, (1 0 1)
- 2θ 31.0, intensity 50.2, (0 0 4)
- 2θ 31.7, intensity 95.6, (2 0 0)
- 2θ 44.9, intensity 71.9, (2 0 4)
- 2θ 45.4, intensity 35.0, (2 2 0)
- 2θ 56.0, intensity 37.3, (2 2 4)